No. 1
Starting from a crystal structure in Alexandria, relaxed with GGA-PBE, the powder diffractogram of Ac2TcOsN6 was simulated for Cu Kα.
Kinematic intensities with the Lorentz-polarization factor, no thermal factor.

Most intense lines, 15 to 90 degrees two-theta, in order of rising 2θ:
2θ = 31.5°, intensity 50.4
2θ = 31.6°, intensity 100.0
2θ = 39.0°, intensity 6.4
2θ = 45.2°, intensity 24.8
2θ = 45.5°, intensity 12.2
2θ = 56.2°, intensity 41.0
2θ = 56.4°, intensity 20.3
2θ = 65.8°, intensity 7.9
2θ = 66.1°, intensity 15.7
2θ = 74.9°, intensity 17.9
2θ = 75.3°, intensity 8.8
2θ = 83.7°, intensity 8.2

Atomic structure:
a b c (Å): 5.6749 5.6749 7.9737
angles (deg): 90.00 90.00 90.00
Element x y z (fractional)
Ac 0.0000 0.5000 0.2500
Ac 0.0000 0.5000 0.7500
Ac 0.5000 0.0000 0.2500
Ac 0.5000 0.0000 0.7500
Tc 0.0000 0.0000 0.0000
Tc 0.5000 0.5000 0.5000
Os 0.0000 0.0000 0.5000
Os 0.5000 0.5000 0.0000
N 0.0000 0.0000 0.2509
N 0.0000 0.0000 0.7491
N 0.2473 0.2509 0.5000
N 0.2491 0.2527 0.0000
N 0.2509 0.7527 0.5000
N 0.2527 0.7509 0.0000
N 0.5000 0.5000 0.2491
N 0.5000 0.5000 0.7509
N 0.7473 0.2491 0.0000
N 0.7491 0.2473 0.5000
N 0.7509 0.7473 0.0000
N 0.7527 0.7491 0.5000

---

No. 2
Starting from a crystal structure in Alexandria, relaxed with GGA-PBE, the powder diffractogram of Ac2UOs2N6 was simulated for Cu Kα.
Kinematic intensities with the Lorentz-polarization factor, no thermal factor.

Most intense lines, 15 to 90 degrees two-theta, in order of rising 2θ:
2θ = 30.3°, intensity 98.7
2θ = 30.9°, intensity 100.0
2θ = 43.8°, intensity 38.7
2θ = 53.4°, intensity 16.6
2θ = 54.6°, intensity 40.4
2θ = 55.0°, intensity 20.6
2θ = 63.0°, intensity 8.5
2θ = 64.4°, intensity 15.0
2θ = 71.8°, intensity 13.8
2θ = 72.8°, intensity 17.1
2θ = 89.4°, intensity 10.5
2θ = 89.7°, intensity 11.5

Atomic structure:
a b c (Å): 6.9416 6.9416 6.9416
angles (deg): 49.24 49.24 49.24
Element x y z (fractional)
Ac 0.2128 0.2128 0.2128
Ac 0.7872 0.7872 0.7872
U 0.0000 0.0000 0.0000
Os 0.3916 0.3916 0.3916
Os 0.6084 0.6084 0.6084
N 0.2259 0.7526 0.7526
N 0.2474 0.2474 0.7741
N 0.2474 0.7741 0.2474
N 0.7526 0.2259 0.7526
N 0.7526 0.7526 0.2259
N 0.7741 0.2474 0.2474